[1]
Computed PXRD pattern
Compound: LiLu3Co
Radiation: Cu Kα (λ = 1.5418 Å)
Structure: DFT lattice parameters and positions (PBE)

a b c (Å): 5.115 5.115 5.115
angles (deg): 90.00 90.00 90.00
Element x y z (fractional)
Li  0.000  0.000  0.000
Lu  0.000  0.500  0.500
Lu  0.500  0.000  0.500
Lu  0.500  0.500  0.000
Co  0.500  0.500  0.500

Most intense lines, 10° ≤ 2θ ≤ 80°, low angle first:
two_theta, I/Imax, hkl
17.34, 73, 1 0 0
24.61, 13, 1 1 0
30.27, 100, 1 1 1
35.09, 82, 2 0 0
39.39, 37, 2 1 0
50.47, 59, 2 2 0
53.76, 18, 3 0 0
59.98, 45, 3 1 1
62.95, 20, 2 2 2
76.84, 10, 4 1 0



[2]
Computed PXRD pattern
Compound: Li2MgCo
Radiation: Cu Kα (λ = 1.5418 Å)
Structure: DFT lattice parameters and positions (PBE)

a b c (Å): 2.718 2.718 8.526
angles (deg): 90.00 90.00 90.00
Element x y z (fractional)
Li  0.000  0.000  0.215
Li  0.000  0.000  0.785
Mg  0.500  0.500  0.500
Co  0.500  0.500  0.000

Most intense lines, 10° ≤ 2θ ≤ 80°, low angle first:
two_theta, I/Imax, hkl
10.38, 99, 0 0 1
20.84, 88, 0 0 2
32.95, 53, 1 0 0
34.63, 18, 1 0 1
39.31, 100, 1 0 2
42.41, 19, 0 0 4
47.29, 29, 1 1 0
52.20, 27, 1 1 2
54.72, 25, 1 0 4
65.38, 19, 1 1 4